(1)
Diffraction record for Ho6Ru2Au. The X-ray powder pattern is simulated, not measured: it uses the GGA-PBE geometry in Alexandria and copper Kα.
Peak positions follow from Bragg's law for the DFT cell and can differ from measured ones.

Top 12 peaks for 5 to 70 degrees two-theta, sorted by position:
30.43°, I 33; 32.32°, I 99; 33.98°, I 43; 35.06°, I 100; 35.82°, I 73; 37.70°, I 20; 38.80°, I 29; 39.30°, I 22; 40.18°, I 23; 57.55°, I 23; 59.79°, I 21; 60.82°, I 32

Atomic structure:
```
18
Lattice="-4.6418 4.6759 5.1192 4.6418 -4.6759 5.1192 4.6418 4.6759 -5.1192" Properties=species:S:1:pos:R:3 pbc="T T T"
Ho 4.6418 2.8509 -2.6261
Ho 2.5911 1.6890 0.0000
Ho 6.6925 1.6890 0.0000
Ho 1.7348 4.6759 -1.7380
Ho 2.9070 0.0000 3.3812
Ho 0.0000 1.8251 2.4931
Ho 4.6418 2.8509 2.6261
Ho 1.7348 4.6759 1.7380
Ho 2.9070 0.0000 6.8572
Ho -2.0507 2.9869 5.1192
Ho 2.0507 2.9869 5.1192
Ho 0.0000 1.8251 7.7453
Ru 4.6418 0.0000 1.2956
Ru 0.0000 3.0475 0.0000
Ru 0.0000 6.3043 0.0000
Ru 0.0000 4.6759 3.8236
Au 0.0000 0.0000 0.0000
Au 0.0000 0.0000 5.1192
```

(2)
Diffraction record for HoSnAuS. The X-ray powder pattern is simulated, not measured: it uses the GGA-PBE geometry in Alexandria and copper Kα.
Peak positions follow from Bragg's law for the DFT cell and can differ from measured ones.

Top 12 peaks for 5 to 70 degrees two-theta, sorted by position:
7.86°, I 25; 25.05°, I 100; 31.14°, I 18; 31.82°, I 24; 35.08°, I 78; 39.82°, I 90; 44.10°, I 19; 47.62°, I 18; 51.85°, I 37; 54.10°, I 23; 65.32°, I 17; 69.25°, I 22

Atomic structure:
```
8
Lattice="2.2636 1.3069 11.2495 -2.2636 1.3069 11.2495 0.0000 -2.6137 11.2495" Properties=species:S:1:pos:R:3 pbc="T T T"
Ho 0.0000 0.0000 3.8759
Ho 0.0000 0.0000 29.8727
Sn 0.0000 0.0000 10.1139
Sn 0.0000 0.0000 23.6347
Au 0.0000 0.0000 13.1202
Au 0.0000 0.0000 20.6284
S 0.0000 0.0000 6.6475
S 0.0000 0.0000 27.1011
```

(3)
Diffraction record for Ho3ScAu4. The X-ray powder pattern is simulated, not measured: it uses the GGA-PBE geometry in Alexandria and copper Kα.
Peak positions follow from Bragg's law for the DFT cell and can differ from measured ones.

Top 12 peaks for 5 to 70 degrees two-theta, sorted by position:
8.81°, I 2; 17.66°, I 2; 25.07°, I 4; 25.29°, I 2; 32.30°, I 2; 35.75°, I 50; 35.91°, I 100; 44.30°, I 2; 51.46°, I 18; 51.93°, I 9; 64.34°, I 36; 64.65°, I 18

Atomic structure:
```
8
Lattice="3.5215 0.0000 0.0000 0.0000 5.0265 0.0000 0.0000 0.0000 10.0387" Properties=species:S:1:pos:R:3 pbc="T T T"
Ho 0.0000 0.0000 0.0000
Ho 0.0000 2.5132 2.5448
Ho 0.0000 2.5132 7.4939
Sc 0.0000 0.0000 5.0194
Au 1.7607 0.0000 2.6448
Au 1.7607 0.0000 7.3940
Au 1.7607 2.5132 0.0000
Au 1.7607 2.5132 5.0194
```

(4)
Diffraction record for HoScAu6. The X-ray powder pattern is simulated, not measured: it uses the GGA-PBE geometry in Alexandria and copper Kα.
Peak positions follow from Bragg's law for the DFT cell and can differ from measured ones.

Top 12 peaks for 5 to 70 degrees two-theta, sorted by position:
11.48°, I 3; 22.17°, I 3; 23.06°, I 9; 28.74°, I 3; 36.54°, I 100; 36.65°, I 99; 40.99°, I 37; 41.19°, I 35; 45.23°, I 28; 59.51°, I 24; 62.67°, I 31; 62.97°, I 10

Atomic structure:
```
8
Lattice="4.5611 -2.2018 0.0000 4.5611 2.2018 0.0000 -4.1795 0.0000 7.7066" Properties=species:S:1:pos:R:3 pbc="T T T"
Ho 0.0000 0.0000 0.0000
Sc -2.0898 0.0000 3.8533
Au -1.3565 0.0000 6.6684
Au 0.7013 0.0000 2.9500
Au 3.4668 0.0000 1.9359
Au 1.4759 0.0000 5.7707
Au 4.2414 0.0000 4.7566
Au 6.2993 0.0000 1.0382
```

(5)
Diffraction record for HoSc3Au2. The X-ray powder pattern is simulated, not measured: it uses the GGA-PBE geometry in Alexandria and copper Kα.
Peak positions follow from Bragg's law for the DFT cell and can differ from measured ones.

Top 12 peaks for 5 to 70 degrees two-theta, sorted by position:
10.44°, I 19; 24.77°, I 59; 25.28°, I 81; 31.29°, I 26; 33.83°, I 20; 34.21°, I 100; 37.11°, I 59; 38.16°, I 48; 45.42°, I 25; 45.72°, I 25; 46.02°, I 52; 60.78°, I 21

Atomic structure:
```
12
Lattice="4.7171 0.0000 0.0000 0.0000 8.4717 0.0000 0.0000 0.0000 6.7927" Properties=species:S:1:pos:R:3 pbc="T T T"
Ho 0.0000 0.5775 0.0000
Ho 0.0000 7.8942 3.3964
Sc 0.0000 2.8107 4.3050
Sc 0.0000 5.6610 0.9087
Sc 2.3586 1.5203 2.2609
Sc 2.3586 3.6749 6.5576
Sc 2.3586 4.7968 3.1613
Sc 2.3586 6.9513 5.6573
Au 0.0000 2.9980 1.5808
Au 0.0000 5.4736 4.9772
Au 2.3586 1.2940 4.9940
Au 2.3586 7.1777 1.5977
```

(6)
Diffraction record for Ho4ScAu5. The X-ray powder pattern is simulated, not measured: it uses the GGA-PBE geometry in Alexandria and copper Kα.
Peak positions follow from Bragg's law for the DFT cell and can differ from measured ones.

Top 12 peaks for 5 to 70 degrees two-theta, sorted by position:
24.74°, I 2; 25.29°, I 4; 29.41°, I 2; 32.28°, I 4; 35.67°, I 100; 36.06°, I 50; 44.22°, I 2; 50.73°, I 8; 51.92°, I 18; 59.27°, I 2; 63.81°, I 17; 64.58°, I 36

Atomic structure:
```
10
Lattice="3.5223 0.0000 0.0000 0.0000 3.5223 0.0000 0.0000 0.0000 17.9952" Properties=species:S:1:pos:R:3 pbc="T T T"
Ho 0.0000 0.0000 1.8357
Ho 0.0000 0.0000 5.5016
Ho 0.0000 0.0000 12.4936
Ho 0.0000 0.0000 16.1595
Sc 0.0000 0.0000 8.9976
Au 1.7611 1.7611 0.0000
Au 1.7611 1.7611 3.6710
Au 1.7611 1.7611 7.3879
Au 1.7611 1.7611 10.6073
Au 1.7611 1.7611 14.3242
```